1.
For Ta2Zn3O8, a PBE-relaxed structure gives the computed XRD peak list in this record (Cu Kα, 1.54184 Å).

Principal peaks in the range 10 to 80 degrees two-theta, low angle first:
d/Å, 2theta, I/Imax
5.863, 15.1, 72.0
4.276, 20.8, 67.6
4.040, 22.0, 40.6
3.826, 23.3, 93.2
3.060, 29.2, 35.3
3.042, 29.4, 36.1
3.000, 29.8, 100.0
2.797, 32.0, 40.1
2.770, 32.3, 72.6
2.679, 33.4, 71.6
1.611, 57.2, 43.8
1.521, 60.9, 38.2

Crystal structure
Unit cell a=6.186 b=6.186 c=9.650 alpha=108.36 beta=108.36 gamma=87.06
Fractional coordinates of all 26 atoms:
Ta 0.061 0.778 0.873
Ta 0.222 0.939 0.627
Ta 0.778 0.061 0.373
Ta 0.939 0.222 0.127
Zn 0.238 0.762 0.250
Zn 0.320 0.363 0.503
Zn 0.363 0.320 0.003
Zn 0.637 0.680 0.997
Zn 0.680 0.637 0.497
Zn 0.762 0.238 0.750
O 0.016 0.283 0.353
O 0.063 0.862 0.397
O 0.138 0.937 0.103
O 0.179 0.425 0.145
O 0.283 0.016 0.853
O 0.310 0.586 0.911
O 0.414 0.690 0.589
O 0.425 0.179 0.645
O 0.575 0.821 0.355
O 0.586 0.310 0.411
O 0.690 0.414 0.089
O 0.717 0.984 0.147
O 0.821 0.575 0.855
O 0.862 0.063 0.897
O 0.937 0.138 0.603
O 0.984 0.717 0.647



2.
For Rb2NaNbF6, a PBE-relaxed structure gives the computed XRD peak list in this record (Cu Kα, 1.54184 Å).

Principal peaks in the range 10 to 80 degrees two-theta, low angle first:
d/Å, 2theta, I/Imax
5.106, 17.4, 22.6
3.127, 28.5, 100.0
2.667, 33.6, 9.4
2.553, 35.2, 17.3
2.211, 40.8, 48.0
1.805, 50.6, 40.3
1.702, 53.9, 4.4
1.563, 59.1, 29.1
1.495, 62.1, 4.1
1.398, 66.9, 18.1
1.333, 70.6, 4.7
1.277, 74.3, 9.2

Crystal structure
Unit cell a=6.254 b=6.254 c=6.254 alpha=60.00 beta=60.00 gamma=60.00
Fractional coordinates of all 10 atoms:
Rb 0.250 0.250 0.250
Rb 0.750 0.750 0.750
Na 0.000 0.000 0.000
Nb 0.500 0.500 0.500
F 0.261 0.261 0.739
F 0.261 0.739 0.261
F 0.261 0.739 0.739
F 0.739 0.261 0.261
F 0.739 0.261 0.739
F 0.739 0.739 0.261



3.
For LiEu2Ge3, a PBE-relaxed structure gives the computed XRD peak list in this record (Cu Kα, 1.54184 Å).

Principal peaks in the range 10 to 80 degrees two-theta, low angle first:
d/Å, 2theta, I/Imax
5.810, 15.3, 23.9
3.376, 26.4, 24.3
2.979, 30.0, 80.3
2.832, 31.6, 100.0
2.808, 31.9, 32.4
2.751, 32.5, 33.0
2.584, 34.7, 34.6
2.380, 37.8, 29.0
2.241, 40.3, 55.9
2.051, 44.2, 32.5
1.773, 51.5, 21.8
1.513, 61.3, 24.6

Crystal structure
Unit cell a=10.960 b=11.619 c=4.483 alpha=90.00 beta=90.00 gamma=90.00
Fractional coordinates of all 24 atoms:
Li 0.141 0.218 0.000
Li 0.359 0.718 0.500
Li 0.641 0.282 0.500
Li 0.859 0.782 0.000
Eu 0.050 0.649 0.500
Eu 0.178 0.929 0.000
Eu 0.322 0.429 0.500
Eu 0.450 0.149 0.000
Eu 0.550 0.851 0.000
Eu 0.678 0.571 0.500
Eu 0.822 0.071 0.000
Eu 0.950 0.351 0.500
Ge 0.029 0.103 0.500
Ge 0.111 0.456 0.000
Ge 0.244 0.641 0.000
Ge 0.256 0.141 0.500
Ge 0.389 0.956 0.500
Ge 0.471 0.603 0.000
Ge 0.529 0.397 0.000
Ge 0.611 0.044 0.500
Ge 0.744 0.859 0.500
Ge 0.756 0.359 0.000
Ge 0.889 0.544 0.000
Ge 0.971 0.897 0.500



4.
For EuTi2CdO6F, a PBE-relaxed structure gives the computed XRD peak list in this record (Cu Kα, 1.54184 Å).

Principal peaks in the range 10 to 80 degrees two-theta, low angle first:
d/Å, 2theta, I/Imax
5.891, 15.0, 32.4
2.999, 29.8, 100.0
2.946, 30.3, 94.2
2.579, 34.8, 34.8
2.564, 35.0, 17.1
2.370, 38.0, 17.6
1.974, 46.0, 12.9
1.849, 49.3, 16.3
1.818, 50.2, 62.9
1.799, 50.7, 15.4
1.566, 59.0, 26.7
1.543, 59.9, 38.7

Crystal structure
Unit cell a=7.274 b=7.274 c=7.274 alpha=120.70 beta=118.91 gamma=90.34
Fractional coordinates of all 22 atoms:
Eu 0.000 0.000 0.000
Eu 0.500 0.000 0.500
Ti 0.000 0.500 0.500
Ti 0.500 0.000 0.000
Ti 0.500 0.500 0.000
Ti 0.500 0.500 0.500
Cd 0.000 0.000 0.500
Cd 0.000 0.500 0.000
O 0.175 0.420 0.347
O 0.175 0.425 0.750
O 0.175 0.828 0.755
O 0.421 0.171 0.250
O 0.427 0.172 0.847
O 0.427 0.580 0.255
O 0.573 0.420 0.745
O 0.573 0.828 0.153
O 0.579 0.829 0.750
O 0.825 0.172 0.245
O 0.825 0.575 0.250
O 0.825 0.580 0.653
F 0.120 0.870 0.250
F 0.880 0.130 0.750



5.
For NaNbO3, a PBE-relaxed structure gives the computed XRD peak list in this record (Cu Kα, 1.54184 Å).

Principal peaks in the range 10 to 80 degrees two-theta, low angle first:
d/Å, 2theta, I/Imax
3.989, 22.3, 69.1
3.920, 22.7, 34.3
2.844, 31.5, 19.5
2.797, 32.0, 100.0
1.995, 45.5, 29.5
1.960, 46.3, 16.1
1.778, 51.4, 11.9
1.759, 52.0, 14.1
1.633, 56.4, 12.9
1.615, 57.0, 27.3
1.606, 57.4, 8.7
1.398, 66.9, 14.8

Crystal structure
Unit cell a=5.598 b=5.687 c=15.681 alpha=90.00 beta=90.00 gamma=90.00
Fractional coordinates of all 40 atoms:
Na 0.241 0.203 0.250
Na 0.241 0.250 0.000
Na 0.241 0.250 0.500
Na 0.241 0.297 0.750
Na 0.759 0.703 0.250
Na 0.759 0.750 0.000
Na 0.759 0.750 0.500
Na 0.759 0.797 0.750
Nb 0.256 0.722 0.125
Nb 0.256 0.722 0.375
Nb 0.256 0.778 0.625
Nb 0.256 0.778 0.875
Nb 0.744 0.222 0.125
Nb 0.744 0.222 0.375
Nb 0.744 0.278 0.625
Nb 0.744 0.278 0.875
O 0.042 0.032 0.642
O 0.042 0.032 0.858
O 0.042 0.468 0.142
O 0.042 0.468 0.358
O 0.184 0.750 0.000
O 0.184 0.750 0.500
O 0.316 0.724 0.750
O 0.316 0.776 0.250
O 0.460 0.045 0.108
O 0.460 0.045 0.392
O 0.460 0.455 0.608
O 0.460 0.455 0.892
O 0.540 0.545 0.108
O 0.540 0.545 0.392
O 0.540 0.955 0.608
O 0.540 0.955 0.892
O 0.684 0.224 0.750
O 0.684 0.276 0.250
O 0.816 0.250 0.000
O 0.816 0.250 0.500
O 0.958 0.532 0.642
O 0.958 0.532 0.858
O 0.958 0.968 0.142
O 0.958 0.968 0.358



6.
For Mg4Sc, a PBE-relaxed structure gives the computed XRD peak list in this record (Cu Kα, 1.54184 Å).

Principal peaks in the range 10 to 80 degrees two-theta, low angle first:
d/Å, 2theta, I/Imax
6.602, 13.4, 6.1
4.401, 20.2, 2.4
2.641, 33.9, 34.2
2.616, 34.3, 100.0
2.271, 39.7, 65.4
1.611, 57.2, 21.0
1.600, 57.6, 20.5
1.376, 68.2, 11.9
1.369, 68.6, 23.4
1.365, 68.8, 11.6
1.320, 71.4, 3.4
1.308, 72.2, 9.9

Crystal structure
Unit cell a=13.332 b=13.332 c=13.332 alpha=13.79 beta=13.79 gamma=13.79
Fractional coordinates of all 5 atoms:
Mg 0.100 0.100 0.100
Mg 0.300 0.300 0.300
Mg 0.700 0.700 0.700
Mg 0.900 0.900 0.900
Sc 0.500 0.500 0.500